1.
Calculated PXRD pattern
Compound: PmDy2Rh2
Radiation: Cu Kα X-rays
Structure: a GGA-PBE-relaxed structure
Peak positions follow from Bragg's law for the DFT cell and can differ from measured ones.

Largest 10 diffraction maxima, in order of rising 2θ, 10 to 80 degrees two-theta:
2theta	intensity
27.84	23
31.80	100
34.00	25
38.45	36
38.61	70
47.32	20
52.25	15
55.65	15
59.49	20
62.54	17

Atomic structure:
```
10
Lattice="1.921 -13.186 0.000 1.921 13.186 0.000 0.000 0.000 4.682" Properties=species:S:1:pos:R:3 pbc="T T T"
Pm 1.921 9.588 3.512
Pm 1.921 -9.588 1.171
Dy 1.921 6.979 1.171
Dy 1.921 1.354 3.512
Dy 1.921 -1.354 1.171
Dy 1.921 -6.979 3.512
Rh 1.921 12.339 3.512
Rh 1.921 4.271 3.512
Rh 1.921 -4.271 1.171
Rh 1.921 -12.339 1.171
```

---

2.
Calculated PXRD pattern
Compound: Pm6Dy2Ru
Radiation: Cu Kα X-rays
Structure: a GGA-PBE-relaxed structure
Peak positions follow from Bragg's law for the DFT cell and can differ from measured ones.

Largest 10 diffraction maxima, in order of rising 2θ, 10 to 80 degrees two-theta:
2theta	intensity
27.35	25
29.41	49
31.02	68
31.24	100
31.38	48
31.80	29
48.02	20
48.99	37
53.07	26
58.53	30

Atomic structure:
```
9
Lattice="8.756 0.000 0.000 0.000 3.789 0.000 -0.468 0.000 8.884" Properties=species:S:1:pos:R:3 pbc="T T T"
Pm 0.184 0.000 1.748
Pm 1.753 1.895 4.897
Pm 3.766 0.000 2.473
Pm 4.522 0.000 6.411
Pm 6.535 1.895 3.987
Pm 8.104 0.000 7.136
Dy 2.191 1.895 8.590
Dy 6.097 1.895 0.294
Ru -0.234 0.000 4.442
```

---

3.
Calculated PXRD pattern
Compound: Pm3DyRu2
Radiation: Cu Kα X-rays
Structure: a GGA-PBE-relaxed structure
Peak positions follow from Bragg's law for the DFT cell and can differ from measured ones.

Largest 10 diffraction maxima, in order of rising 2θ, 10 to 80 degrees two-theta:
2theta	intensity
22.13	54
25.97	30
26.12	34
28.76	44
34.30	74
36.15	38
36.26	41
37.17	100
38.64	31
64.49	40

Atomic structure:
```
12
Lattice="-3.412 6.861 3.603 3.412 -6.861 3.603 3.412 6.861 -3.603" Properties=species:S:1:pos:R:3 pbc="T T T"
Pm 3.412 -3.210 1.802
Pm 0.000 0.000 1.802
Pm 3.412 3.210 1.802
Pm 0.000 3.651 1.802
Pm 0.000 0.000 5.405
Pm 0.000 10.071 1.802
Dy 3.412 0.000 0.000
Dy 0.000 6.861 0.000
Ru 1.540 1.831 0.000
Ru 1.540 -1.831 3.603
Ru 1.871 8.692 0.000
Ru 1.871 5.030 3.603
```